1.
Diffraction record for YHo2Hg5. The X-ray diffraction stick pattern is simulated, not measured: it uses a structure optimized by DFT (GGA-PBE) and Cu Kα, 1.54184 Å.
Neutral-atom scattering factors, no anomalous dispersion.

Unit cell a=5.194 b=5.194 c=14.583 alpha=90.00 beta=90.00 gamma=90.00
Space group I4/mmm (No. 139)
Asymmetric unit:
Y 0.000 0.000 0.000
Ho 0.000 0.000 0.264
Hg 0.000 0.000 0.500
Hg 0.000 0.500 0.126

Peak list (10 most intense, 2θ = 10–90°, low angle first)
2θ (°)  I/Imax
34.54  52
34.67  100
49.65  19
50.04  8
61.97  38
62.22  17
72.84  6
73.16  11
83.22  17
83.86  7

2.
Diffraction record for Na2H3Rh. The X-ray diffraction stick pattern is simulated, not measured: it uses a structure optimized by DFT (GGA-PBE) and Cu Kα, 1.54184 Å.
Neutral-atom scattering factors, no anomalous dispersion.

Unit cell a=2.970 b=3.684 c=15.289 alpha=90.00 beta=90.00 gamma=90.00
Space group Immm (No. 71)
Asymmetric unit:
Na 0.000 0.000 0.135
H 0.000 0.500 0.065
H 0.000 0.500 0.500
Rh 0.000 0.000 0.500

Peak list (10 most intense, 2θ = 10–90°, low angle first)
2θ (°)  I/Imax
11.58  100
24.86  17
29.93  41
34.97  27
38.25  15
38.96  21
40.77  15
42.43  12
53.52  11
63.10  12

3.
Diffraction record for Zr3Sb. The X-ray diffraction stick pattern is simulated, not measured: it uses a structure optimized by DFT (GGA-PBE) and Cu Kα, 1.54184 Å.
Neutral-atom scattering factors, no anomalous dispersion.

Unit cell a=6.718 b=10.291 c=5.144 alpha=90.00 beta=90.00 gamma=90.00
Space group Cmcm (No. 63)
Asymmetric unit:
Zr 0.000 0.130 0.250
Zr 0.230 0.400 0.250
Sb 0.000 0.334 0.750

Peak list (10 most intense, 2θ = 10–90°, low angle first)
2θ (°)  I/Imax
31.81  8
34.88  52
36.41  100
39.15  15
50.15  13
54.65  8
60.62  6
63.54  24
66.49  13
71.88  8

4.
Diffraction record for SbSeI. The X-ray diffraction stick pattern is simulated, not measured: it uses a structure optimized by DFT (GGA-PBE) and Cu Kα, 1.54184 Å.
Neutral-atom scattering factors, no anomalous dispersion.

Unit cell a=4.199 b=7.349 c=7.999 alpha=102.66 beta=104.89 gamma=90.05
Space group P-1 (No. 2)
Asymmetric unit:
Sb 0.250 0.224 0.000
Se 0.148 0.873 0.793
I 0.380 0.661 0.268

Peak list (10 most intense, 2θ = 10–90°, low angle first)
2θ (°)  I/Imax
11.75  100
24.88  32
28.62  76
28.76  75
29.98  59
38.87  28
41.03  24
41.22  23
42.82  41
43.09  26

5.
Diffraction record for ErReC2. The X-ray diffraction stick pattern is simulated, not measured: it uses a structure optimized by DFT (GGA-PBE) and Cu Kα, 1.54184 Å.
Neutral-atom scattering factors, no anomalous dispersion.

Unit cell a=5.607 b=3.314 c=10.791 alpha=90.00 beta=90.00 gamma=90.00
Space group Pnma (No. 62)
Asymmetric unit:
Er 0.098 0.250 0.132
Re 0.104 0.750 0.382
C 0.152 0.250 0.753
C 0.222 0.250 0.484

Peak list (10 most intense, 2θ = 10–90°, low angle first)
2θ (°)  I/Imax
32.46  31
33.01  40
33.21  40
35.60  100
40.35  21
40.81  27
55.46  12
57.23  19
60.89  20
62.64  12

6.
Diffraction record for La2CdAg5. The X-ray diffraction stick pattern is simulated, not measured: it uses a structure optimized by DFT (GGA-PBE) and Cu Kα, 1.54184 Å.
Neutral-atom scattering factors, no anomalous dispersion.

Unit cell a=4.606 b=16.937 c=10.038 alpha=90.00 beta=90.00 gamma=90.00
Space group Cmcm (No. 63)
Asymmetric unit:
La 0.000 0.000 0.000
La 0.000 0.204 0.250
Cd 0.000 0.446 0.750
Ag 0.000 0.185 0.611
Ag 0.000 0.350 0.527
Ag 0.000 0.393 0.250

Peak list (10 most intense, 2θ = 10–90°, low angle first)
2θ (°)  I/Imax
26.79  28
30.74  100
32.82  85
33.52  84
36.52  34
39.11  67
41.87  32
42.76  24
44.12  31
58.63  23